Simulated X-ray powder pattern of Er3Al3Pd2 for Cu Kα X-rays, from DFT lattice parameters and positions (PBE).
No peak broadening, texture or thermal motion is included.

Cell lengths 8.1278, 14.9995, 5.5486 Å; angles 90.00, 90.00, 90.00 degrees
Positions (direct):
Er (0.0375, 0.1122, 0.1148)
Er (0.0375, 0.3878, 0.1148)
Er (0.1818, 0.2500, 0.6198)
Er (0.3182, 0.7500, 0.1198)
Er (0.4625, 0.6122, 0.6148)
Er (0.4625, 0.8878, 0.6148)
Er (0.5375, 0.1122, 0.3852)
Er (0.5375, 0.3878, 0.3852)
Er (0.6818, 0.2500, 0.8802)
Er (0.8182, 0.7500, 0.3802)
Er (0.9625, 0.6122, 0.8852)
Er (0.9625, 0.8878, 0.8852)
Al (0.1694, 0.7500, 0.6158)
Al (0.1867, 0.0345, 0.6076)
Al (0.1867, 0.4655, 0.6076)
Al (0.3133, 0.5345, 0.1076)
Al (0.3133, 0.9655, 0.1076)
Al (0.3306, 0.2500, 0.1158)
Al (0.6694, 0.7500, 0.8842)
Al (0.6867, 0.0345, 0.8924)
Al (0.6867, 0.4655, 0.8924)
Al (0.8133, 0.5345, 0.3924)
Al (0.8133, 0.9655, 0.3924)
Al (0.8306, 0.2500, 0.3842)
Pd (0.0976, 0.6072, 0.3739)
Pd (0.0976, 0.8928, 0.3739)
Pd (0.4024, 0.1072, 0.8739)
Pd (0.4024, 0.3928, 0.8739)
Pd (0.5976, 0.6072, 0.1261)
Pd (0.5976, 0.8928, 0.1261)
Pd (0.9024, 0.1072, 0.6261)
Pd (0.9024, 0.3928, 0.6261)

Largest 12 diffraction maxima, in order of falling intensity, 10° ≤ 2θ ≤ 90°:
| h k l | 2θ/deg | intensity |
| --- | --- | --- |
| 2 4 0 | 32.49 | 100 |
| 1 1 2 | 34.69 | 98 |
| 1 3 2 | 38.74 | 77 |
| 2 4 1 | 36.40 | 71 |
| 1 3 1 | 26.38 | 54 |
| 1 7 2 | 55.34 | 50 |
| 3 0 1 | 36.92 | 48 |
| 0 4 0 | 23.73 | 36 |
| 0 6 0 | 35.92 | 34 |
| 1 4 1 | 30.81 | 33 |
| 2 1 1 | 27.85 | 32 |
| 3 1 1 | 37.42 | 30 |